Starting from a DFT-relaxed cell (PBE, Alexandria), the PXRD pattern of YCuPb3 was simulated for Cu Kα (λ = 1.5418 Å).

```
YCuPb3
1.0
5.266 0.000 0.000
0.000 5.266 0.000
0.000 0.000 5.266
Y Cu Pb
1 1 3
Cartesian
0.000 0.000 0.000 Y
2.633 2.633 2.633 Cu
0.000 2.633 2.633 Pb
2.633 0.000 2.633 Pb
2.633 2.633 0.000 Pb
```

Peak list (8 most intense, 2θ from 10° to 80°, most intense first)
- 29.38°, 3.040 Å, I = 100
- 34.05°, 2.633 Å, I = 76
- 48.92°, 1.862 Å, I = 56
- 58.10°, 1.588 Å, I = 46
- 16.84°, 5.266 Å, I = 22
- 79.31°, 1.208 Å, I = 19
- 60.95°, 1.520 Å, I = 19
- 38.22°, 2.355 Å, I = 13

=====

Starting from a DFT-relaxed cell (PBE, Alexandria), the PXRD pattern of NaGa2H8 was simulated for Cu Kα (λ = 1.5418 Å).

```
NaGa2H8
1.0
5.326 -3.816 0.000
5.326 3.816 0.000
-2.546 0.000 6.613
Na Ga H
2 4 16
Cartesian
3.417 1.991 4.960 Na
4.689 -1.991 1.653 Na
0.811 0.022 5.885 Ga
2.084 -0.022 2.579 Ga
6.022 0.022 4.035 Ga
7.295 -0.022 0.728 Ga
-0.657 0.052 5.320 H
0.616 -0.052 2.013 H
2.802 1.375 2.811 H
1.538 1.392 6.201 H
2.909 0.006 0.995 H
1.636 -0.006 4.302 H
5.295 1.392 3.719 H
6.577 1.375 0.495 H
1.530 -1.375 6.118 H
2.811 -1.392 2.894 H
6.470 0.006 2.312 H
5.197 -0.006 5.618 H
6.568 -1.392 0.412 H
5.304 -1.375 3.802 H
7.490 0.052 4.600 H
8.763 -0.052 1.294 H
```

Peak list (8 most intense, 2θ from 10° to 80°, most intense first)
- 27.77°, 3.213 Å, I = 100
- 29.51°, 3.027 Å, I = 92
- 17.85°, 4.970 Å, I = 76
- 23.31°, 3.816 Å, I = 53
- 33.61°, 2.667 Å, I = 45
- 32.80°, 2.730 Å, I = 43
- 29.39°, 3.040 Å, I = 40
- 43.82°, 2.066 Å, I = 30